This entry pairs a crystal structure of Sm6TmSc2 with its theoretical X-ray diffraction stick pattern. Radiation: λ = 1.5418 Å (Cu Kα). Structure: DFT lattice parameters and positions (PBE).
Intensities are scaled so that the largest is 100.

Peak list (6 most intense, 2θ = 10–90°, by angle)
two_theta, intensity
29.85, 46
31.02, 100
33.47, 41
38.15, 27
39.49, 23
42.03, 22

Cell and atoms:
```
9
Lattice="4.558 -8.639 0.000 4.558 8.639 0.000 0.000 0.000 3.582" Properties=species:S:1:pos:R:3 pbc="T T T"
Sm 1.634 2.869 0.000
Sm 1.671 0.000 1.791
Sm 1.634 -2.869 0.000
Sm 7.482 2.869 0.000
Sm 7.445 0.000 1.791
Sm 7.482 -2.869 0.000
Tm 4.558 0.000 0.000
Sc 4.558 3.069 1.791
Sc 4.558 -3.069 1.791
```

=====

This entry pairs a crystal structure of Sm2Tm3Sc4 with its theoretical X-ray diffraction stick pattern. Radiation: λ = 1.5418 Å (Cu Kα). Structure: DFT lattice parameters and positions (PBE).
Intensities are scaled so that the largest is 100.

Peak list (6 most intense, 2θ = 10–90°, by angle)
two_theta, intensity
18.71, 26
29.54, 26
31.83, 100
32.29, 39
33.12, 85
39.45, 49

Cell and atoms:
```
18
Lattice="7.908 -5.545 0.000 7.908 5.545 0.000 -0.646 0.000 5.801" Properties=species:S:1:pos:R:3 pbc="T T T"
Sm 5.451 3.946 3.967
Sm 9.395 3.946 4.735
Sm 5.774 -3.946 1.066
Sm 9.718 -3.946 1.834
Tm 7.746 4.389 1.450
Tm 5.093 1.069 2.232
Tm 4.770 -1.069 5.133
Tm 10.399 1.069 0.669
Tm 10.076 -1.069 3.569
Tm 7.423 -4.389 4.351
Sc 2.962 1.565 4.908
Sc 6.593 1.508 5.682
Sc 3.285 -1.565 2.007
Sc 8.253 1.508 3.020
Sc 6.916 -1.508 2.781
Sc 11.885 1.565 3.794
Sc 8.577 -1.508 0.119
Sc 12.208 -1.565 0.893
```

=====

This entry pairs a crystal structure of Sm10TmSc6 with its theoretical X-ray diffraction stick pattern. Radiation: λ = 1.5418 Å (Cu Kα). Structure: DFT lattice parameters and positions (PBE).
Intensities are scaled so that the largest is 100.

Peak list (6 most intense, 2θ = 10–90°, by angle)
two_theta, intensity
22.99, 20
31.79, 18
32.74, 100
46.98, 16
58.45, 26
78.14, 10

Cell and atoms:
```
17
Lattice="9.480 0.000 0.000 -4.740 8.210 0.000 0.000 0.000 6.693" Properties=species:S:1:pos:R:3 pbc="T T T"
Sm -1.334 2.310 2.149
Sm -3.406 5.900 4.544
Sm 2.667 0.000 2.149
Sm 1.334 2.310 4.544
Sm 0.000 5.473 0.000
Sm 0.000 5.473 3.347
Sm 4.740 2.737 0.000
Sm 4.740 2.737 3.347
Sm 6.813 0.000 4.544
Sm 3.406 5.900 2.149
Tm 0.000 0.000 0.000
Sc -1.707 2.956 5.537
Sc -3.033 5.253 1.156
Sc 3.413 0.000 5.537
Sc 1.707 2.956 1.156
Sc 6.066 0.000 1.156
Sc 3.033 5.253 5.537
```

=====

This entry pairs a crystal structure of Sm12TmSc2 with its theoretical X-ray diffraction stick pattern. Radiation: λ = 1.5418 Å (Cu Kα). Structure: DFT lattice parameters and positions (PBE).
Intensities are scaled so that the largest is 100.

Peak list (6 most intense, 2θ = 10–90°, by angle)
two_theta, intensity
30.81, 100
31.42, 97
34.45, 60
36.93, 35
51.40, 39
60.20, 30

Cell and atoms:
```
15
Lattice="3.622 0.000 0.000 0.000 4.868 0.000 -1.800 0.000 28.076" Properties=species:S:1:pos:R:3 pbc="T T T"
Sm 0.009 0.000 1.806
Sm 0.028 0.000 5.492
Sm 0.026 0.000 8.945
Sm 0.013 0.000 12.571
Sm -0.008 2.434 17.387
Sm -0.009 2.434 24.426
Sm 1.831 2.434 3.650
Sm 1.830 2.434 10.689
Sm 1.809 0.000 15.505
Sm 1.796 0.000 19.131
Sm 1.794 0.000 22.584
Sm 1.813 0.000 26.270
Tm 1.811 2.434 0.000
Sc -0.016 2.434 20.856
Sc 1.838 2.434 7.220
```

=====

This entry pairs a crystal structure of SmTm4Sc6 with its theoretical X-ray diffraction stick pattern. Radiation: λ = 1.5418 Å (Cu Kα). Structure: DFT lattice parameters and positions (PBE).
Intensities are scaled so that the largest is 100.

Peak list (6 most intense, 2θ = 10–90°, by angle)
two_theta, intensity
21.15, 62
32.70, 41
33.32, 100
33.75, 66
34.10, 41
34.38, 92

Cell and atoms:
```
11
Lattice="2.656 -17.152 0.000 2.656 17.152 0.000 0.000 0.000 3.328" Properties=species:S:1:pos:R:3 pbc="T T T"
Sm 0.000 0.000 0.000
Tm 2.656 10.857 0.000
Tm 2.656 2.041 0.000
Tm 2.656 -2.041 0.000
Tm 2.656 -10.857 0.000
Sc 2.656 13.968 1.664
Sc 2.656 7.857 1.664
Sc 2.656 4.868 1.664
Sc 2.656 -4.868 1.664
Sc 2.656 -7.857 1.664
Sc 2.656 -13.968 1.664
```

=====

This entry pairs a crystal structure of SmTm4Sc3 with its theoretical X-ray diffraction stick pattern. Radiation: λ = 1.5418 Å (Cu Kα). Structure: DFT lattice parameters and positions (PBE).
Intensities are scaled so that the largest is 100.

Peak list (6 most intense, 2θ = 10–90°, by angle)
two_theta, intensity
29.56, 23
33.05, 35
33.96, 100
34.08, 47
44.96, 26
59.64, 29

Cell and atoms:
```
16
Lattice="10.840 0.000 0.000 0.000 6.989 0.000 0.000 0.000 6.019" Properties=species:S:1:pos:R:3 pbc="T T T"
Sm 0.000 0.835 0.000
Sm 5.420 6.153 3.009
Tm 0.000 2.594 2.993
Tm 0.000 4.400 5.975
Tm 2.666 4.401 2.020
Tm 2.754 2.588 5.030
Tm 5.420 2.589 2.965
Tm 5.420 4.395 6.002
Tm 8.086 2.588 5.030
Tm 8.174 4.401 2.020
Sc 0.000 6.129 3.017
Sc 2.699 0.849 1.989
Sc 2.721 6.140 4.999
Sc 5.420 0.860 0.008
Sc 8.120 6.140 4.999
Sc 8.141 0.849 1.989
```

=====

This entry pairs a crystal structure of Sm2Tm3Sc with its theoretical X-ray diffraction stick pattern. Radiation: λ = 1.5418 Å (Cu Kα). Structure: DFT lattice parameters and positions (PBE).
Intensities are scaled so that the largest is 100.

Peak list (6 most intense, 2θ = 10–90°, by angle)
two_theta, intensity
29.06, 27
31.33, 59
32.46, 100
32.74, 21
34.00, 28
64.01, 32

Cell and atoms:
```
12
Lattice="8.710 -1.712 0.000 8.710 1.712 0.000 -6.425 0.000 12.392" Properties=species:S:1:pos:R:3 pbc="T T T"
Sm -0.332 0.000 5.806
Sm 4.803 0.000 1.525
Sm 6.192 0.000 10.867
Sm 11.327 0.000 6.586
Tm 1.553 0.000 0.329
Tm 2.286 0.000 3.638
Tm 2.980 0.000 9.762
Tm 8.015 0.000 2.630
Tm 8.710 0.000 8.754
Tm 9.442 0.000 12.063
Sc -3.016 0.000 7.937
Sc 14.012 0.000 4.455
```

=====

This entry pairs a crystal structure of Sm10TmSc4 with its theoretical X-ray diffraction stick pattern. Radiation: λ = 1.5418 Å (Cu Kα). Structure: DFT lattice parameters and positions (PBE).
Intensities are scaled so that the largest is 100.

Peak list (6 most intense, 2θ = 10–90°, by angle)
two_theta, intensity
13.23, 34
25.59, 79
31.16, 31
33.38, 100
36.50, 59
36.82, 42

Cell and atoms:
```
15
Lattice="-5.504 5.504 4.216 5.504 -5.504 4.216 5.504 5.504 -4.216" Properties=species:S:1:pos:R:3 pbc="T T T"
Sm 6.776 -3.039 2.611
Sm 2.465 -1.272 1.604
Sm 5.504 0.000 2.108
Sm 8.542 1.272 1.604
Sm 1.272 2.465 1.604
Sm 4.232 3.039 2.611
Sm -3.039 4.232 2.611
Sm 0.000 5.504 2.108
Sm 3.039 6.776 2.611
Sm -1.272 8.542 1.604
Tm 0.000 0.000 0.000
Sc 6.182 3.112 0.000
Sc 3.112 4.825 0.000
Sc 2.392 0.678 4.216
Sc -0.678 2.392 4.216
```

=====

This entry pairs a crystal structure of Sm7Tm3Sc with its theoretical X-ray diffraction stick pattern. Radiation: λ = 1.5418 Å (Cu Kα). Structure: DFT lattice parameters and positions (PBE).
Intensities are scaled so that the largest is 100.

Peak list (6 most intense, 2θ = 10–90°, by angle)
two_theta, intensity
28.68, 27
30.74, 19
31.64, 54
31.83, 100
32.26, 39
33.44, 61

Cell and atoms:
```
22
Lattice="3.491 -9.146 0.000 3.491 9.146 0.000 -0.073 0.000 11.236" Properties=species:S:1:pos:R:3 pbc="T T T"
Sm 1.732 2.940 0.334
Sm 1.725 2.939 5.284
Sm 1.697 1.584 8.427
Sm 1.715 0.000 2.807
Sm 1.697 -1.584 8.427
Sm 1.732 -2.940 0.334
Sm 1.725 -2.939 5.284
Sm 5.183 2.939 5.953
Sm 5.177 2.940 10.902
Sm 5.212 1.584 2.809
Sm 5.194 0.000 8.429
Sm 5.212 -1.584 2.809
Sm 5.183 -2.939 5.953
Sm 5.177 -2.940 10.902
Tm -0.037 0.000 5.618
Tm 3.472 4.578 2.810
Tm 3.437 4.578 8.426
Tm 3.491 0.000 0.000
Tm 3.472 -4.578 2.810
Tm 3.437 -4.578 8.426
Sc 0.000 0.000 0.000
Sc 3.454 0.000 5.618
```

=====

This entry pairs a crystal structure of SmTm9Sc2 with its theoretical X-ray diffraction stick pattern. Radiation: λ = 1.5418 Å (Cu Kα). Structure: DFT lattice parameters and positions (PBE).
Intensities are scaled so that the largest is 100.

Peak list (6 most intense, 2θ = 10–90°, by angle)
two_theta, intensity
32.22, 91
32.80, 100
36.28, 20
46.64, 30
58.19, 30
64.08, 29

Cell and atoms:
```
12
Lattice="10.921 0.000 0.000 -5.461 9.458 0.000 0.000 0.000 3.433" Properties=species:S:1:pos:R:3 pbc="T T T"
Sm 0.000 0.000 0.000
Tm -2.730 4.729 0.000
Tm 0.000 3.413 1.717
Tm -2.505 7.752 1.717
Tm 2.956 1.707 1.717
Tm 5.461 0.000 0.000
Tm 2.730 4.729 0.000
Tm 2.505 7.752 1.717
Tm 7.965 1.707 1.717
Tm 5.461 6.045 1.717
Sc 0.000 6.305 0.000
Sc 5.461 3.153 0.000
```

=====

This entry pairs a crystal structure of SmTm7Sc4 with its theoretical X-ray diffraction stick pattern. Radiation: λ = 1.5418 Å (Cu Kα). Structure: DFT lattice parameters and positions (PBE).
Intensities are scaled so that the largest is 100.

Peak list (6 most intense, 2θ = 10–90°, by angle)
two_theta, intensity
30.12, 52
32.60, 48
33.30, 100
35.09, 96
53.07, 36
63.68, 35

Cell and atoms:
```
12
Lattice="5.978 0.000 0.000 -0.001 6.902 0.000 -2.007 -0.004 8.240" Properties=species:S:1:pos:R:3 pbc="T T T"
Sm 0.000 0.000 0.000
Tm 0.000 3.451 0.000
Tm 0.008 -0.002 5.462
Tm 1.009 5.133 2.796
Tm 2.968 1.753 0.032
Tm 1.002 5.145 8.208
Tm 2.962 1.766 5.444
Tm 3.963 6.900 2.778
Sc -0.024 3.448 5.438
Sc 0.972 1.757 2.787
Sc 2.998 5.141 5.453
Sc 3.995 3.450 2.802
```

=====

This entry pairs a crystal structure of Sm2YTmSc4 with its theoretical X-ray diffraction stick pattern. Radiation: λ = 1.5418 Å (Cu Kα). Structure: DFT lattice parameters and positions (PBE).
Intensities are scaled so that the largest is 100.

Peak list (6 most intense, 2θ = 10–90°, by angle)
two_theta, intensity
19.17, 23
25.51, 23
32.11, 100
36.39, 35
54.32, 22
62.80, 28

Cell and atoms:
```
8
Lattice="4.938 0.000 0.000 0.000 4.938 0.000 0.000 0.000 9.260" Properties=species:S:1:pos:R:3 pbc="T T T"
Sm 0.000 0.000 0.000
Sm 2.469 2.469 4.630
Y 0.000 0.000 4.630
Tm 2.469 2.469 0.000
Sc 0.000 2.469 2.299
Sc 0.000 2.469 6.962
Sc 2.469 0.000 2.299
Sc 2.469 0.000 6.962
```

=====

Q: Number 10 is which compound?
A: SmTm9Sc2